For InCl, a cell relaxed with PBE gives the calculated powder XRD pattern in this record (Cu Kα (λ = 1.5418 Å)).
No peak broadening, texture or thermal motion is included.

Principal peaks in the range 2θ from 10° to 80°, in order of rising 2θ:
2θ (°)	Rel. int.	h k l
21.3	422	1 1 0
24.4	447	0 2 1
28.7	437	0 4 0
29.2	1000	1 1 1
35.7	564	1 3 1
39.9	213	0 0 2
40.8	199	2 0 0
41.7	205	1 5 0
49.9	177	0 4 2
50.7	169	2 4 0

Structure:
Cell: 4.4216 12.4322 4.5182 Å, 90.00 90.00 90.00°
Space group Cmcm (No. 63)
Inequivalent atoms, fractional coordinates:
1 In 0.0000 0.1138 0.2500 x4
2 Cl 0.0000 0.3446 0.2500 x4